Simulated PXRD pattern of LiCeGa4 for Cu Kα (weighted mean of Kα1 and Kα2), from a DFT-relaxed cell (GGA-PBE, Alexandria).
Kinematic intensities with the Lorentz-polarization factor, no thermal factor.

Principal peaks in the range 2θ from 10° to 80°, in order of rising 2θ:
| 2θ/deg | I (rel.) |
| --- | --- |
| 17.0 | 32 |
| 24.2 | 90 |
| 34.4 | 48 |
| 35.0 | 100 |
| 36.4 | 31 |
| 40.0 | 92 |
| 40.7 | 30 |
| 41.7 | 41 |
| 50.3 | 29 |
| 55.1 | 24 |

```
LiCeGa4
1.0
4.3299 0.0000 0.0000
0.0000 6.9324 0.0000
0.0000 0.0000 7.9254
Li Ce Ga
2 2 8
Direct
0.0000 0.0000 0.0000
0.5000 0.5000 0.5000
0.0000 0.5000 0.0000
0.5000 0.0000 0.5000
0.0000 0.2990 0.3366
0.0000 0.2990 0.6634
0.0000 0.7010 0.3366
0.0000 0.7010 0.6634
0.5000 0.2010 0.1634
0.5000 0.2010 0.8366
0.5000 0.7990 0.1634
0.5000 0.7990 0.8366
```

Simulated PXRD pattern of Nb2TlO6 for Cu Kα (weighted mean of Kα1 and Kα2), from a DFT-relaxed cell (GGA-PBE, Alexandria).
Kinematic intensities with the Lorentz-polarization factor, no thermal factor.

Principal peaks in the range 2θ from 10° to 80°, in order of rising 2θ:
| 2θ/deg | I (rel.) |
| --- | --- |
| 19.0 | 8 |
| 25.6 | 100 |
| 33.2 | 34 |
| 42.4 | 24 |
| 48.7 | 36 |
| 54.8 | 24 |
| 56.8 | 10 |
| 59.2 | 11 |
| 75.5 | 10 |
| 77.1 | 9 |

```
Nb2TlO6
1.0
5.4029 0.0000 0.0000
-2.7014 4.6790 0.0000
0.0000 0.0000 5.1877
Nb Tl O
2 1 6
Direct
0.3333 0.6667 0.0000
0.6667 0.3333 0.0000
0.0000 0.0000 0.5000
0.0000 0.3815 0.2145
0.0000 0.6185 0.7855
0.3815 0.0000 0.2145
0.3815 0.3815 0.7855
0.6185 0.0000 0.7855
0.6185 0.6185 0.2145
```

Simulated PXRD pattern of Tb3PrEr3 for Cu Kα (weighted mean of Kα1 and Kα2), from a DFT-relaxed cell (GGA-PBE, Alexandria).
Kinematic intensities with the Lorentz-polarization factor, no thermal factor.

Principal peaks in the range 2θ from 10° to 80°, in order of rising 2θ:
| 2θ/deg | I (rel.) |
| --- | --- |
| 24.1 | 21 |
| 29.8 | 25 |
| 30.3 | 94 |
| 31.4 | 100 |
| 32.9 | 26 |
| 35.4 | 75 |
| 36.5 | 25 |
| 46.1 | 27 |
| 51.8 | 23 |
| 56.0 | 21 |

```
Tb3PrEr3
1.0
4.9280 2.8452 2.7263
-4.9280 2.8452 2.7263
0.0000 -5.6904 2.7263
Tb Pr Er
3 1 3
Direct
0.2148 0.2148 0.5705
0.2148 0.5705 0.2148
0.5705 0.2148 0.2148
0.6282 0.6282 0.6282
0.1746 0.7732 0.7732
0.7732 0.1746 0.7732
0.7732 0.7732 0.1746
```

Simulated PXRD pattern of Pa3ZnNi2 for Cu Kα (weighted mean of Kα1 and Kα2), from a DFT-relaxed cell (GGA-PBE, Alexandria).
Kinematic intensities with the Lorentz-polarization factor, no thermal factor.

Principal peaks in the range 2θ from 10° to 80°, in order of rising 2θ:
| 2θ/deg | I (rel.) |
| --- | --- |
| 29.3 | 100 |
| 35.0 | 7 |
| 41.3 | 43 |
| 42.6 | 32 |
| 51.5 | 19 |
| 55.2 | 11 |
| 59.3 | 14 |
| 60.8 | 10 |
| 68.1 | 15 |
| 76.2 | 9 |

```
Pa3ZnNi2
1.0
3.7819 2.1835 5.1340
-3.7819 2.1835 5.1340
0.0000 -4.3670 5.1340
Pa Zn Ni
6 2 4
Direct
0.0598 0.7500 0.4402
0.2500 0.5598 0.9402
0.4402 0.0598 0.7500
0.5598 0.9402 0.2500
0.7500 0.4402 0.0598
0.9402 0.2500 0.5598
0.0000 0.0000 0.0000
0.5000 0.5000 0.5000
0.1621 0.1621 0.1621
0.3379 0.3379 0.3379
0.6621 0.6621 0.6621
0.8379 0.8379 0.8379
```

Simulated PXRD pattern of ThMo6 for Cu Kα (weighted mean of Kα1 and Kα2), from a DFT-relaxed cell (GGA-PBE, Alexandria).
Kinematic intensities with the Lorentz-polarization factor, no thermal factor.

Principal peaks in the range 2θ from 10° to 80°, in order of rising 2θ:
| 2θ/deg | I (rel.) |
| --- | --- |
| 25.8 | 42 |
| 31.8 | 100 |
| 45.5 | 9 |
| 49.4 | 58 |
| 53.1 | 21 |
| 59.9 | 16 |
| 63.2 | 14 |
| 75.4 | 17 |
| 78.4 | 14 |

```
ThMo6
1.0
6.9023 0.0000 0.0000
0.0000 6.9023 0.0000
0.0000 0.0000 6.9023
Th Mo
2 12
Direct
0.0000 0.0000 0.0000
0.5000 0.5000 0.5000
0.0000 0.2500 0.5000
0.0000 0.5000 0.2500
0.0000 0.5000 0.7500
0.0000 0.7500 0.5000
0.2500 0.0000 0.5000
0.2500 0.5000 0.0000
0.5000 0.0000 0.2500
0.5000 0.0000 0.7500
0.5000 0.2500 0.0000
0.5000 0.7500 0.0000
0.7500 0.0000 0.5000
0.7500 0.5000 0.0000
```

Simulated PXRD pattern of Cs2Tl9In4 for Cu Kα (weighted mean of Kα1 and Kα2), from a DFT-relaxed cell (GGA-PBE, Alexandria).
Kinematic intensities with the Lorentz-polarization factor, no thermal factor.

Principal peaks in the range 2θ from 10° to 80°, in order of rising 2θ:
| 2θ/deg | I (rel.) |
| --- | --- |
| 25.4 | 12 |
| 28.4 | 70 |
| 32.8 | 100 |
| 33.9 | 16 |
| 35.5 | 39 |
| 43.9 | 22 |
| 49.1 | 16 |
| 55.9 | 21 |
| 58.5 | 19 |
| 60.3 | 17 |

```
Cs2Tl9In4
1.0
5.4654 0.0000 0.0000
-2.7327 4.7332 0.0000
0.0000 0.0000 20.9522
Cs Tl In
2 9 4
Direct
0.3333 0.6667 0.2633
0.6667 0.3333 0.7367
0.0000 0.0000 0.0000
0.0000 0.0000 0.1494
0.0000 0.0000 0.4106
0.0000 0.0000 0.5894
0.0000 0.0000 0.8506
0.3333 0.6667 0.0545
0.3333 0.6667 0.4626
0.6667 0.3333 0.5374
0.6667 0.3333 0.9455
0.3333 0.6667 0.6129
0.3333 0.6667 0.8915
0.6667 0.3333 0.1085
0.6667 0.3333 0.3871
```

Copy entry 1 word for word.
Simulated PXRD pattern of LiCeGa4 for Cu Kα (weighted mean of Kα1 and Kα2), from a DFT-relaxed cell (GGA-PBE, Alexandria).
Kinematic intensities with the Lorentz-polarization factor, no thermal factor.

Principal peaks in the range 2θ from 10° to 80°, in order of rising 2θ:
| 2θ/deg | I (rel.) |
| --- | --- |
| 17.0 | 32 |
| 24.2 | 90 |
| 34.4 | 48 |
| 35.0 | 100 |
| 36.4 | 31 |
| 40.0 | 92 |
| 40.7 | 30 |
| 41.7 | 41 |
| 50.3 | 29 |
| 55.1 | 24 |

```
LiCeGa4
1.0
4.3299 0.0000 0.0000
0.0000 6.9324 0.0000
0.0000 0.0000 7.9254
Li Ce Ga
2 2 8
Direct
0.0000 0.0000 0.0000
0.5000 0.5000 0.5000
0.0000 0.5000 0.0000
0.5000 0.0000 0.5000
0.0000 0.2990 0.3366
0.0000 0.2990 0.6634
0.0000 0.7010 0.3366
0.0000 0.7010 0.6634
0.5000 0.2010 0.1634
0.5000 0.2010 0.8366
0.5000 0.7990 0.1634
0.5000 0.7990 0.8366
```